Calculated X-ray powder pattern of MgAlCrO4 for λ = 1.5418 Å (Cu Kα), from the GGA+U geometry in the Materials Project.

Structural model:
Lattice parameters (Å, degrees): 5.180 2.898 5.188 90.00 104.34 90.00
Sites, in units of the cell vectors:
Mg  0.000  0.000  0.000
Al  0.289  0.500  0.714
Cr  0.673  0.000  0.330
O  0.025  0.000  0.617
O  0.386  0.000  0.978
O  0.506  0.500  0.499
O  0.848  0.500  0.155

Principal peaks in the range 10 to 90 degrees two-theta, most intense first:
28.07 deg, I = 100; 47.95 deg, I = 67; 35.78 deg, I = 63; 38.04 deg, I = 50; 21.71 deg, I = 48; 64.26 deg, I = 46



Calculated X-ray powder pattern of MgAl4Cr2O10 for λ = 1.5418 Å (Cu Kα), from the GGA+U geometry in the Materials Project.

Structural model:
Lattice parameters (Å, degrees): 9.612 5.208 5.208 41.65 90.00 90.00
Sites, in units of the cell vectors:
Mg  0.000  0.000  0.000
Al  0.198  0.350  0.350
Al  0.320  0.615  0.615
Al  0.680  0.615  0.615
Al  0.802  0.350  0.350
Cr  0.000  0.702  0.702
Cr  0.500  0.293  0.293
O  0.000  0.243  0.243
O  0.132  0.544  0.544
O  0.154  0.840  0.840
O  0.307  0.181  0.181
O  0.363  0.438  0.438
O  0.500  0.711  0.711
O  0.637  0.438  0.438
O  0.693  0.181  0.181
O  0.846  0.840  0.840
O  0.868  0.544  0.544

Principal peaks in the range 10 to 90 degrees two-theta, most intense first:
27.39 deg, I = 100; 33.48 deg, I = 97; 25.74 deg, I = 92; 41.56 deg, I = 89; 49.21 deg, I = 83; 18.22 deg, I = 68



Calculated X-ray powder pattern of NaAlCr2O10 for λ = 1.5418 Å (Cu Kα), from the GGA+U geometry in the Materials Project.

Structural model:
Lattice parameters (Å, degrees): 7.621 7.621 10.916 109.02 109.02 41.74
Sites, in units of the cell vectors:
Na  0.216  0.784  0.750
Na  0.784  0.216  0.250
Al  0.000  0.500  0.500
Al  0.500  0.000  0.000
Cr  0.160  0.640  0.039
Cr  0.360  0.840  0.461
Cr  0.640  0.160  0.539
Cr  0.840  0.360  0.961
O  0.012  0.548  0.343
O  0.149  0.178  0.930
O  0.152  0.625  0.885
O  0.178  0.149  0.430
O  0.211  0.755  0.374
O  0.245  0.789  0.126
O  0.321  0.397  0.579
O  0.375  0.848  0.615
O  0.397  0.321  0.079
O  0.452  0.988  0.157
O  0.548  0.012  0.843
O  0.603  0.679  0.921
O  0.625  0.152  0.385
O  0.679  0.603  0.421
O  0.755  0.211  0.874
O  0.789  0.245  0.626
O  0.822  0.851  0.570
O  0.848  0.375  0.115
O  0.851  0.822  0.070
O  0.988  0.452  0.657

Principal peaks in the range 10 to 90 degrees two-theta, most intense first:
17.34 deg, I = 100; 24.97 deg, I = 98; 29.53 deg, I = 82; 29.66 deg, I = 46; 32.99 deg, I = 41; 31.56 deg, I = 28



Calculated X-ray powder pattern of NaAl3Cr2O14 for λ = 1.5418 Å (Cu Kα), from the GGA+U geometry in the Materials Project.

Structural model:
Lattice parameters (Å, degrees): 7.109 7.109 7.109 59.65 59.65 59.65
Sites, in units of the cell vectors:
Na  0.000  0.000  0.000
Al  0.000  0.000  0.500
Al  0.000  0.500  0.000
Al  0.500  0.000  0.000
Cr  0.312  0.312  0.312
Cr  0.688  0.688  0.688
O  0.085  0.742  0.742
O  0.148  0.148  0.534
O  0.148  0.534  0.148
O  0.258  0.258  0.915
O  0.258  0.915  0.258
O  0.404  0.404  0.404
O  0.466  0.852  0.852
O  0.534  0.148  0.148
O  0.596  0.596  0.596
O  0.742  0.085  0.742
O  0.742  0.742  0.085
O  0.852  0.466  0.852
O  0.852  0.852  0.466
O  0.915  0.258  0.258

Principal peaks in the range 10 to 90 degrees two-theta, most intense first:
29.58 deg, I = 100; 17.69 deg, I = 61; 47.18 deg, I = 31; 25.19 deg, I = 30; 38.99 deg, I = 24; 51.71 deg, I = 21



Calculated X-ray powder pattern of Na2AlCrP4O14 for λ = 1.5418 Å (Cu Kα), from the GGA+U geometry in the Materials Project.

Structural model:
Lattice parameters (Å, degrees): 7.308 7.914 9.501 90.00 111.53 90.00
Sites, in units of the cell vectors:
Na  0.209  0.000  0.455
Na  0.210  0.458  0.956
Na  0.790  0.958  0.044
Na  0.791  0.500  0.545
Al  0.238  0.469  0.501
Al  0.762  0.969  0.499
Cr  0.239  0.985  0.003
Cr  0.761  0.485  0.997
P  0.170  0.768  0.701
P  0.174  0.687  0.209
P  0.422  0.237  0.794
P  0.428  0.224  0.301
P  0.572  0.724  0.699
P  0.578  0.737  0.206
P  0.826  0.187  0.791
P  0.830  0.268  0.299
O  0.025  0.892  0.596
O  0.037  0.562  0.098
O  0.137  0.873  0.158
O  0.140  0.584  0.643
O  0.185  0.774  0.866
O  0.188  0.669  0.373
O  0.305  0.191  0.135
O  0.305  0.277  0.628
O  0.309  0.115  0.853
O  0.318  0.343  0.367
O  0.377  0.829  0.690
O  0.382  0.633  0.196
O  0.488  0.397  0.893
O  0.499  0.063  0.396
O  0.501  0.563  0.604
O  0.512  0.897  0.107
O  0.618  0.133  0.804
O  0.623  0.329  0.310
O  0.682  0.843  0.633
O  0.691  0.615  0.147
O  0.695  0.691  0.865
O  0.695  0.777  0.372
O  0.812  0.169  0.627
O  0.815  0.274  0.134
O  0.860  0.084  0.357
O  0.863  0.373  0.842
O  0.963  0.062  0.902
O  0.975  0.392  0.404

Principal peaks in the range 10 to 90 degrees two-theta, most intense first:
30.32 deg, I = 100; 28.58 deg, I = 53; 17.33 deg, I = 40; 23.05 deg, I = 39; 28.91 deg, I = 37; 26.22 deg, I = 23



Calculated X-ray powder pattern of Na4AlCr3P8O28 for λ = 1.5418 Å (Cu Kα), from the GGA+U geometry in the Materials Project.

Structural model:
Lattice parameters (Å, degrees): 7.328 7.953 9.554 90.09 111.51 90.11
Sites, in units of the cell vectors:
Na  0.000  0.000  0.000
Na  0.000  0.456  0.500
Na  0.581  0.500  0.090
Na  0.582  0.957  0.590
Al  0.552  0.488  0.544
Cr  0.029  0.472  0.048
Cr  0.029  0.985  0.547
Cr  0.552  0.972  0.043
P  0.215  0.222  0.841
P  0.218  0.237  0.343
P  0.367  0.731  0.747
P  0.369  0.720  0.252
P  0.617  0.270  0.837
P  0.618  0.191  0.342
P  0.960  0.687  0.748
P  0.964  0.768  0.251
O  0.096  0.190  0.675
O  0.097  0.269  0.177
O  0.102  0.342  0.902
O  0.104  0.118  0.403
O  0.168  0.630  0.736
O  0.173  0.823  0.241
O  0.279  0.062  0.936
O  0.291  0.395  0.440
O  0.302  0.562  0.153
O  0.303  0.893  0.653
O  0.410  0.131  0.351
O  0.410  0.325  0.851
O  0.475  0.612  0.681
O  0.481  0.841  0.191
O  0.485  0.681  0.417
O  0.486  0.764  0.913
O  0.602  0.288  0.674
O  0.605  0.183  0.179
O  0.650  0.374  0.400
O  0.653  0.085  0.889
O  0.754  0.064  0.448
O  0.754  0.394  0.947
O  0.817  0.564  0.641
O  0.828  0.894  0.143
O  0.926  0.871  0.696
O  0.927  0.584  0.197
O  0.975  0.678  0.912
O  0.976  0.777  0.414

Principal peaks in the range 10 to 90 degrees two-theta, most intense first:
30.16 deg, I = 100; 28.49 deg, I = 49; 17.26 deg, I = 47; 22.93 deg, I = 35; 28.81 deg, I = 33; 26.14 deg, I = 25



Calculated X-ray powder pattern of Na4Al3CrP8O28 for λ = 1.5418 Å (Cu Kα), from the GGA+U geometry in the Materials Project.

Structural model:
Lattice parameters (Å, degrees): 7.290 7.870 9.451 90.03 111.76 90.13
Sites, in units of the cell vectors:
Na  0.000  0.000  0.000
Na  0.000  0.455  0.500
Na  0.586  0.500  0.097
Na  0.586  0.956  0.596
Al  0.032  0.469  0.050
Al  0.554  0.487  0.547
Al  0.554  0.968  0.048
Cr  0.033  0.984  0.551
P  0.218  0.237  0.344
P  0.220  0.224  0.849
P  0.368  0.721  0.250
P  0.371  0.732  0.752
P  0.618  0.187  0.343
P  0.622  0.270  0.845
P  0.964  0.682  0.754
P  0.964  0.767  0.249
O  0.099  0.192  0.681
O  0.100  0.117  0.402
O  0.100  0.277  0.177
O  0.108  0.343  0.913
O  0.172  0.627  0.739
O  0.173  0.829  0.239
O  0.291  0.062  0.944
O  0.292  0.395  0.445
O  0.295  0.562  0.152
O  0.307  0.893  0.655
O  0.410  0.128  0.353
O  0.415  0.331  0.859
O  0.481  0.842  0.187
O  0.483  0.611  0.689
O  0.486  0.682  0.418
O  0.488  0.771  0.920
O  0.605  0.171  0.178
O  0.605  0.285  0.680
O  0.649  0.373  0.398
O  0.650  0.084  0.900
O  0.757  0.063  0.453
O  0.768  0.392  0.955
O  0.818  0.892  0.142
O  0.819  0.561  0.642
O  0.932  0.870  0.705
O  0.935  0.583  0.192
O  0.978  0.774  0.414
O  0.980  0.666  0.919

Principal peaks in the range 10 to 90 degrees two-theta, most intense first:
30.51 deg, I = 100; 28.70 deg, I = 61; 23.21 deg, I = 47; 28.99 deg, I = 42; 17.39 deg, I = 33; 26.32 deg, I = 28



Calculated X-ray powder pattern of Al2Cr2O7 for λ = 1.5418 Å (Cu Kα), from the GGA+U geometry in the Materials Project.

Structural model:
Lattice parameters (Å, degrees): 6.439 6.629 6.804 62.87 62.65 61.52
Sites, in units of the cell vectors:
Al  0.000  0.000  0.000
Al  0.000  0.000  0.500
Al  0.000  0.500  0.000
Al  0.500  0.000  0.000
Cr  0.000  0.500  0.500
Cr  0.500  0.000  0.500
Cr  0.500  0.500  0.000
Cr  0.500  0.500  0.500
O  0.083  0.629  0.141
O  0.124  0.071  0.177
O  0.157  0.199  0.483
O  0.285  0.541  0.401
O  0.343  0.811  0.514
O  0.346  0.374  0.857
O  0.383  0.891  0.850
O  0.617  0.109  0.150
O  0.654  0.626  0.143
O  0.657  0.189  0.486
O  0.715  0.459  0.599
O  0.843  0.801  0.517
O  0.876  0.929  0.823
O  0.917  0.371  0.859

Principal peaks in the range 10 to 90 degrees two-theta, most intense first:
31.06 deg, I = 100; 32.24 deg, I = 81; 33.30 deg, I = 48; 33.79 deg, I = 44; 57.24 deg, I = 30; 54.97 deg, I = 28